1.
The following is a theoretical PXRD pattern of CsPuGeI6. It was derived from a crystal structure in Alexandria, relaxed with PBE, using Cu Ka.
Kinematic intensities with the Lorentz-polarization factor, no thermal factor.

Atomic structure:
abc: 8.002 8.002 8.568
angles: 90.00 90.00 120.00
Positions (direct):
Cs (0.000, 0.000, 0.000)
Pu (0.333, 0.667, 0.500)
Ge (0.667, 0.333, 0.500)
I (0.377, 0.007, 0.705)
I (0.377, 0.370, 0.295)
I (0.630, 0.007, 0.295)
I (0.630, 0.623, 0.705)
I (0.993, 0.370, 0.705)
I (0.993, 0.623, 0.295)

Main lines, in order of rising 2θ (2θ from 10° to 80°):
2θ/deg, I/Imax
10.32, 476
12.77, 165
16.45, 778
24.56, 937
30.57, 1000
35.85, 315
38.74, 291
38.99, 438
48.19, 167
48.55, 206
50.34, 193
65.46, 161

---

2.
The following is a theoretical PXRD pattern of KLi2TaCl8. It was derived from a crystal structure in Alexandria, relaxed with PBE, using Cu Ka.
Kinematic intensities with the Lorentz-polarization factor, no thermal factor.

Atomic structure:
abc: 6.243 6.338 9.009
angles: 89.97 89.96 78.68
Positions (direct):
K (0.000, 0.000, 0.000)
Li (0.500, 0.500, 0.165)
Li (0.500, 0.500, 0.835)
Ta (0.000, 0.000, 0.500)
Cl (0.222, 0.798, 0.688)
Cl (0.222, 0.799, 0.312)
Cl (0.227, 0.252, 0.500)
Cl (0.319, 0.321, 0.000)
Cl (0.681, 0.679, 0.000)
Cl (0.773, 0.748, 0.500)
Cl (0.778, 0.201, 0.688)
Cl (0.778, 0.202, 0.312)

Main lines, in order of rising 2θ (2θ from 10° to 80°):
2θ/deg, I/Imax
14.25, 593
14.47, 537
17.34, 569
17.52, 577
18.24, 468
19.71, 391
20.75, 262
22.30, 265
24.41, 217
24.54, 236
29.58, 238
29.92, 1000

---

3.
The following is a theoretical PXRD pattern of CoHI3. It was derived from a crystal structure in Alexandria, relaxed with PBE, using Cu Ka.
Kinematic intensities with the Lorentz-polarization factor, no thermal factor.

Atomic structure:
abc: 3.901 7.777 12.192
angles: 97.99 98.43 91.42
Positions (direct):
Co (0.194, 0.457, 0.383)
Co (0.806, 0.543, 0.617)
H (0.275, 0.290, 0.952)
H (0.725, 0.710, 0.048)
I (0.111, 0.782, 0.113)
I (0.265, 0.293, 0.555)
I (0.372, 0.704, 0.741)
I (0.628, 0.296, 0.259)
I (0.735, 0.707, 0.445)
I (0.889, 0.218, 0.887)

Main lines, in order of rising 2θ (2θ from 10° to 80°):
2θ/deg, I/Imax
11.50, 468
12.76, 383
23.12, 653
23.65, 1000
25.54, 273
26.67, 449
26.98, 511
27.63, 310
28.55, 428
28.80, 532
35.47, 346
45.58, 244

---

4.
The following is a theoretical PXRD pattern of Na3Sn2Br8. It was derived from a crystal structure in Alexandria, relaxed with PBE, using Cu Ka.
Kinematic intensities with the Lorentz-polarization factor, no thermal factor.

Atomic structure:
abc: 8.919 8.919 7.482
angles: 109.61 109.61 58.60
Positions (direct):
Na (0.000, 0.000, 0.000)
Na (0.259, 0.741, 0.500)
Na (0.741, 0.259, 0.500)
Sn (0.307, 0.307, 0.834)
Sn (0.693, 0.693, 0.166)
Br (0.108, 0.108, 0.749)
Br (0.126, 0.638, 0.734)
Br (0.362, 0.874, 0.266)
Br (0.376, 0.376, 0.227)
Br (0.624, 0.624, 0.773)
Br (0.638, 0.126, 0.734)
Br (0.874, 0.362, 0.266)
Br (0.892, 0.892, 0.251)

Main lines, in order of rising 2θ (2θ from 10° to 80°):
2θ/deg, I/Imax
15.65, 300
20.73, 193
21.17, 243
24.77, 1000
25.80, 513
28.13, 186
29.40, 379
40.49, 534
41.37, 280
41.79, 440
42.75, 227
49.43, 320

---

5.
The following is a theoretical PXRD pattern of La5PmSm8. It was derived from a crystal structure in Alexandria, relaxed with PBE, using Cu Ka.
Kinematic intensities with the Lorentz-polarization factor, no thermal factor.

Atomic structure:
abc: 9.017 9.017 15.325
angles: 91.19 91.19 23.17
Positions (direct):
La (0.000, 0.000, 0.000)
La (0.075, 0.075, 0.434)
La (0.327, 0.327, 0.935)
La (0.653, 0.653, 0.877)
La (0.745, 0.745, 0.507)
Pm (0.898, 0.898, 0.363)
Sm (0.116, 0.116, 0.665)
Sm (0.179, 0.179, 0.084)
Sm (0.227, 0.227, 0.296)
Sm (0.435, 0.435, 0.572)
Sm (0.473, 0.473, 0.792)
Sm (0.536, 0.536, 0.218)
Sm (0.804, 0.804, 0.725)
Sm (0.849, 0.849, 0.147)

Main lines, in order of rising 2θ (2θ from 10° to 80°):
2θ/deg, I/Imax
29.60, 345
30.71, 1000
30.81, 566
31.13, 463
31.23, 536
45.58, 180
50.40, 185
54.34, 183
55.12, 195
55.95, 190
60.16, 200
60.23, 168

---

6.
The following is a theoretical PXRD pattern of Na4GePd2. It was derived from a crystal structure in Alexandria, relaxed with PBE, using Cu Ka.
Kinematic intensities with the Lorentz-polarization factor, no thermal factor.

Atomic structure:
abc: 8.453 9.373 4.091
angles: 90.00 90.00 90.00
Positions (direct):
Na (0.181, 0.000, 0.000)
Na (0.250, 0.250, 0.500)
Na (0.250, 0.750, 0.500)
Na (0.319, 0.500, 0.000)
Na (0.681, 0.500, 0.000)
Na (0.750, 0.250, 0.500)
Na (0.750, 0.750, 0.500)
Na (0.819, 0.000, 0.000)
Ge (0.000, 0.500, 0.500)
Ge (0.500, 0.000, 0.500)
Pd (0.000, 0.347, 0.000)
Pd (0.000, 0.653, 0.000)
Pd (0.500, 0.153, 0.000)
Pd (0.500, 0.847, 0.000)

Main lines, in order of rising 2θ (2θ from 10° to 80°):
2θ/deg, I/Imax
14.11, 1000
21.02, 279
21.72, 117
30.45, 243
33.20, 237
36.07, 336
37.76, 513
42.79, 106
44.26, 180
48.89, 148
49.77, 129
63.49, 145

---

7.
The following is a theoretical PXRD pattern of Ba2Eu3Si7. It was derived from a crystal structure in Alexandria, relaxed with PBE, using Cu Ka.
Kinematic intensities with the Lorentz-polarization factor, no thermal factor.

Atomic structure:
abc: 9.276 9.276 4.096
angles: 90.00 90.00 120.00
Positions (direct):
Ba (0.333, 0.667, 0.000)
Ba (0.667, 0.333, 0.000)
Eu (0.000, 0.747, 0.500)
Eu (0.253, 0.253, 0.500)
Eu (0.747, 0.000, 0.500)
Si (0.000, 0.000, 0.000)
Si (0.000, 0.258, 0.000)
Si (0.000, 0.401, 0.500)
Si (0.258, 0.000, 0.000)
Si (0.401, 0.000, 0.500)
Si (0.599, 0.599, 0.500)
Si (0.742, 0.742, 0.000)

Main lines, in order of rising 2θ (2θ from 10° to 80°):
2θ/deg, I/Imax
19.14, 162
22.13, 174
24.39, 206
29.09, 1000
29.42, 500
33.46, 339
36.85, 531
44.92, 174
50.62, 149
54.01, 182
54.61, 150
56.58, 147

---

8.
The following is a theoretical PXRD pattern of NdDy2Al9. It was derived from a crystal structure in Alexandria, relaxed with PBE, using Cu Ka.
Kinematic intensities with the Lorentz-polarization factor, no thermal factor.

Atomic structure:
abc: 9.347 9.347 9.347
angles: 34.89 34.89 34.89
Positions (direct):
Nd (0.000, 0.000, 0.000)
Dy (0.142, 0.142, 0.142)
Dy (0.858, 0.858, 0.858)
Al (0.076, 0.588, 0.588)
Al (0.336, 0.336, 0.336)
Al (0.412, 0.412, 0.924)
Al (0.412, 0.924, 0.412)
Al (0.500, 0.500, 0.500)
Al (0.588, 0.076, 0.588)
Al (0.588, 0.588, 0.076)
Al (0.664, 0.664, 0.664)
Al (0.924, 0.412, 0.412)

Main lines, in order of rising 2θ (2θ from 10° to 80°):
2θ/deg, I/Imax
10.09, 220
18.59, 799
20.25, 235
30.07, 863
31.94, 886
32.90, 519
37.21, 450
38.11, 1000
52.19, 227
55.76, 316
61.05, 251
62.49, 325

---

9.
The following is a theoretical PXRD pattern of Tm3MgPb2C. It was derived from a crystal structure in Alexandria, relaxed with PBE, using Cu Ka.
Kinematic intensities with the Lorentz-polarization factor, no thermal factor.

Atomic structure:
abc: 4.451 4.780 15.931
angles: 90.00 90.00 90.00
Positions (direct):
Tm (0.000, 0.000, 0.000)
Tm (0.000, 0.500, 0.153)
Tm (0.000, 0.500, 0.847)
Tm (0.500, 0.000, 0.347)
Tm (0.500, 0.000, 0.653)
Tm (0.500, 0.500, 0.500)
Mg (0.000, 0.000, 0.500)
Mg (0.500, 0.500, 0.000)
Pb (0.000, 0.500, 0.354)
Pb (0.000, 0.500, 0.646)
Pb (0.500, 0.000, 0.146)
Pb (0.500, 0.000, 0.854)
C (0.000, 0.500, 0.000)
C (0.500, 0.000, 0.500)

Main lines, in order of rising 2θ (2θ from 10° to 80°):
2θ/deg, I/Imax
22.32, 207
27.38, 493
29.63, 416
33.76, 282
35.61, 1000
37.63, 307
40.54, 250
44.01, 164
51.44, 172
56.50, 191
65.19, 230
66.61, 166

---

10.
The following is a theoretical PXRD pattern of Cs5K3Br8. It was derived from a crystal structure in Alexandria, relaxed with PBE, using Cu Ka.
Kinematic intensities with the Lorentz-polarization factor, no thermal factor.

Atomic structure:
abc: 10.099 10.099 10.099
angles: 59.81 59.81 59.81
Positions (direct):
Cs (0.000, 0.000, 0.000)
Cs (0.000, 0.500, 0.500)
Cs (0.500, 0.000, 0.500)
Cs (0.500, 0.500, 0.000)
Cs (0.500, 0.500, 0.500)
K (0.000, 0.000, 0.500)
K (0.000, 0.500, 0.000)
K (0.500, 0.000, 0.000)
Br (0.232, 0.750, 0.750)
Br (0.243, 0.243, 0.243)
Br (0.250, 0.250, 0.768)
Br (0.250, 0.768, 0.250)
Br (0.750, 0.232, 0.750)
Br (0.750, 0.750, 0.232)
Br (0.757, 0.757, 0.757)
Br (0.768, 0.250, 0.250)

Main lines, in order of rising 2θ (2θ from 10° to 80°):
2θ/deg, I/Imax
20.67, 86
24.98, 1000
27.24, 66
35.56, 376
35.67, 387
43.86, 65
44.03, 207
51.25, 127
57.76, 167
57.90, 179
63.79, 57
64.02, 194

---

11.
The following is a theoretical PXRD pattern of Ce4Pm2Te3N2. It was derived from a crystal structure in Alexandria, relaxed with PBE, using Cu Ka.
Kinematic intensities with the Lorentz-polarization factor, no thermal factor.

Atomic structure:
abc: 13.758 13.758 13.758
angles: 160.64 160.64 27.51
Positions (direct):
Ce (0.087, 0.587, 0.500)
Ce (0.413, 0.913, 0.500)
Ce (0.587, 0.087, 0.500)
Ce (0.913, 0.413, 0.500)
Pm (0.198, 0.198, 0.000)
Pm (0.802, 0.802, 0.000)
Te (0.321, 0.321, 0.000)
Te (0.500, 0.500, 0.000)
Te (0.679, 0.679, 0.000)
N (0.107, 0.107, 0.000)
N (0.893, 0.893, 0.000)

Main lines, in order of rising 2θ (2θ from 10° to 80°):
2θ/deg, I/Imax
26.68, 136
28.08, 450
30.39, 422
33.53, 202
34.00, 1000
38.93, 546
47.82, 113
52.30, 225
56.23, 185
62.41, 177
67.08, 105
67.36, 274